Calculated PXRD pattern of LaMnIO2 for a wavelength of 1.5418 Å, from a structure optimized by DFT (PBE+U).

Cell and atoms:
```
LaMnIO2
1.0
6.868 0.000 0.000
0.000 3.780 0.000
-2.169 0.000 7.947
La Mn I O
2 2 2 4
Direct
0.172 0.250 0.179 La
0.828 0.750 0.821 La
0.341 0.250 0.855 Mn
0.659 0.750 0.145 Mn
0.276 0.750 0.570 I
0.724 0.250 0.430 I
0.051 0.250 0.877 O
0.358 0.750 0.088 O
0.642 0.250 0.912 O
0.949 0.750 0.123 O
```

The 10 most intense peaks (2θ = 10–90°), sorted by position:
hkl 0 1 1, 2θ = 26.10°, d = 3.414 Å, I 29
hkl 2 0 -1, 2θ = 26.28°, d = 3.391 Å, I 52
hkl 2 0 0, 2θ = 26.91°, d = 3.313 Å, I 48
hkl 1 1 -1, 2θ = 28.02°, d = 3.185 Å, I 28
hkl 1 0 2, 2θ = 29.09°, d = 3.070 Å, I 36
hkl 1 1 1, 2θ = 30.79°, d = 2.904 Å, I 100
hkl 1 1 -2, 2θ = 33.05°, d = 2.711 Å, I 88
hkl 0 0 3, 2θ = 33.84°, d = 2.649 Å, I 32
hkl 3 1 -2, 2θ = 48.00°, d = 1.895 Å, I 40
hkl 0 2 0, 2θ = 48.14°, d = 1.890 Å, I 27